# Ti5Nb2O14
Computed powder diffractogram, Cu Ka. Input: a crystal structure in Alexandria, relaxed with PBE.

Cell and atoms:
Cell: 6.656 6.722 21.017 Å, 90.00 90.00 90.00°
Space group Cmmm (No. 65)
Unique sites:
Ti  0.000  0.000  0.000 x2
Ti  0.000  0.000  0.146 x4
Ti  0.000  0.000  0.285 x4
Ti  0.000  0.000  0.430 x4
Ti  0.000  0.500  0.215 x4
Ti  0.000  0.500  0.500 x2
Nb  0.000  0.500  0.074 x4
Nb  0.000  0.500  0.357 x4
O  0.000  0.298  0.000 x4
O  0.000  0.300  0.145 x8
O  0.000  0.301  0.285 x8
O  0.000  0.301  0.430 x8
O  0.193  0.000  0.357 x8
O  0.194  0.000  0.072 x8
O  0.195  0.000  0.215 x8
O  0.195  0.000  0.500 x4

Principal peaks in the range 2θ = 10–90°, in order of falling intensity:
hkl	d [Å]	2θ (°)	intensity
1 1 7	2.535	35.41	100.0
0 2 0	3.361	26.52	91.8
2 0 0	3.328	26.79	91.5
3 1 7	1.725	53.10	55.3
1 3 7	1.734	52.81	54.3
3 3 7	1.396	67.05	37.8
0 2 7	2.239	40.28	26.7
2 2 0	2.365	38.05	20.3
0 4 0	1.680	54.62	16.9
1 1 0	4.730	18.76	16.7